Calculated powder diffractogram
Compound: NaPmHo4Se8
Radiation: CuKα
Structure: a cell relaxed with PBE
Lines closer than 0.1° are merged.

The 12 most intense peaks (5 to 70 degrees two-theta), low angle first:
12.67 deg, I = 18; 12.84 deg, I = 34; 24.49 deg, I = 26; 24.70 deg, I = 83; 29.83 deg, I = 100; 38.90 deg, I = 19; 39.08 deg, I = 27; 39.19 deg, I = 18; 42.47 deg, I = 66; 42.90 deg, I = 66; 53.13 deg, I = 18; 61.96 deg, I = 21

Atomic structure:
```
NaPmHo4Se8
1.0
4.216 2.434 6.985
-4.216 2.434 6.985
0.000 -4.868 6.985
Na Pm Ho Se
1 1 4 8
direct
0.000 0.000 0.000
0.632 0.632 0.632
0.112 0.632 0.632
0.253 0.253 0.253
0.632 0.112 0.632
0.632 0.632 0.112
0.381 0.381 0.856
0.381 0.856 0.381
0.385 0.385 0.385
0.405 0.872 0.872
0.856 0.381 0.381
0.866 0.866 0.866
0.872 0.405 0.872
0.872 0.872 0.405
```